Calculated XRD peak list
Compound: CeErOsPt
Radiation: λ = 1.5418 Å (Cu Kα)
Structure: a crystal structure in Alexandria, relaxed with PBE

Principal peaks in the range 2θ from 10° to 90°, sorted by position:
25.7 deg, intensity 1
36.6 deg, intensity 100
52.7 deg, intensity 18
59.6 deg, intensity 1
65.9 deg, intensity 36
77.8 deg, intensity 11
89.2 deg, intensity 17

a b c (Å): 6.9416 6.9416 6.9416
angles (deg): 90.00 90.00 90.00
Atoms (fractional coordinates):
Ce 0.0000 0.0000 0.0000
Ce 0.0000 0.5000 0.5000
Ce 0.5000 0.0000 0.5000
Ce 0.5000 0.5000 0.0000
Er 0.0000 0.0000 0.5000
Er 0.0000 0.5000 0.0000
Er 0.5000 0.0000 0.0000
Er 0.5000 0.5000 0.5000
Os 0.2500 0.2500 0.2500
Os 0.2500 0.7500 0.7500
Os 0.7500 0.2500 0.7500
Os 0.7500 0.7500 0.2500
Pt 0.2500 0.2500 0.7500
Pt 0.2500 0.7500 0.2500
Pt 0.7500 0.2500 0.2500
Pt 0.7500 0.7500 0.7500

=====

Calculated XRD peak list
Compound: Ta4RuRh5
Radiation: λ = 1.5418 Å (Cu Kα)
Structure: a crystal structure in Alexandria, relaxed with PBE

Principal peaks in the range 2θ from 10° to 90°, sorted by position:
39.0 deg, intensity 52
39.2 deg, intensity 50
39.6 deg, intensity 100
44.3 deg, intensity 35
44.7 deg, intensity 33
48.2 deg, intensity 29
64.9 deg, intensity 11
67.7 deg, intensity 10
78.3 deg, intensity 17
79.2 deg, intensity 11

a b c (Å): 4.7661 5.5802 6.4223
angles (deg): 75.77 73.86 76.76
Atoms (fractional coordinates):
Ta 0.1348 0.3755 0.3090
Ta 0.3103 0.1901 0.8701
Ta 0.6897 0.8099 0.1299
Ta 0.8652 0.6245 0.6910
Ru 0.5000 0.5000 0.5000
Rh 0.1059 0.9029 0.2908
Rh 0.2777 0.6855 0.9090
Rh 0.5000 0.0000 0.5000
Rh 0.7223 0.3145 0.0910
Rh 0.8941 0.0971 0.7092

=====

Calculated XRD peak list
Compound: ZrCd2TeO6
Radiation: λ = 1.5418 Å (Cu Kα)
Structure: a crystal structure in Alexandria, relaxed with PBE

Principal peaks in the range 2θ from 10° to 90°, sorted by position:
17.9 deg, intensity 40
28.3 deg, intensity 100
31.1 deg, intensity 51
36.1 deg, intensity 10
42.6 deg, intensity 34
44.5 deg, intensity 32
48.4 deg, intensity 24
53.6 deg, intensity 33
63.3 deg, intensity 20
65.0 deg, intensity 11

a b c (Å): 5.7574 5.7574 4.9666
angles (deg): 90.00 90.00 90.00
Atoms (fractional coordinates):
Zr 0.0000 0.0000 0.0000
Cd 0.0000 0.5000 0.3842
Cd 0.5000 0.0000 0.3842
Te 0.5000 0.5000 0.0746
O 0.0000 0.0000 0.6130
O 0.2453 0.2453 0.1353
O 0.2453 0.7547 0.1353
O 0.5000 0.5000 0.4648
O 0.7547 0.2453 0.1353
O 0.7547 0.7547 0.1353

=====

Calculated XRD peak list
Compound: Sc11Ga9
Radiation: λ = 1.5418 Å (Cu Kα)
Structure: a crystal structure in Alexandria, relaxed with PBE

Principal peaks in the range 2θ from 10° to 90°, sorted by position:
26.6 deg, intensity 18
34.8 deg, intensity 30
35.2 deg, intensity 61
35.6 deg, intensity 29
35.8 deg, intensity 29
36.8 deg, intensity 100
37.0 deg, intensity 31
37.6 deg, intensity 33
39.7 deg, intensity 36
44.3 deg, intensity 18

a b c (Å): 10.6945 10.3469 10.3407
angles (deg): 62.26 58.90 58.84
Atoms (fractional coordinates):
Sc 0.0735 0.5633 0.7004
Sc 0.0799 0.1493 0.5702
Sc 0.1493 0.0799 0.2006
Sc 0.1636 0.1636 0.8364
Sc 0.2006 0.5702 0.1493
Sc 0.2996 0.3373 0.9265
Sc 0.3214 0.6786 0.6786
Sc 0.3256 0.6744 0.3256
Sc 0.3373 0.2996 0.4367
Sc 0.4298 0.7994 0.9201
Sc 0.4367 0.9265 0.3373
Sc 0.5633 0.0735 0.6627
Sc 0.5702 0.2006 0.0799
Sc 0.6627 0.7004 0.5633
Sc 0.6744 0.3256 0.6744
Sc 0.6786 0.3214 0.3214
Sc 0.7004 0.6627 0.0735
Sc 0.7994 0.4298 0.8507
Sc 0.8364 0.8364 0.1636
Sc 0.8507 0.9201 0.7994
Sc 0.9201 0.8507 0.4298
Sc 0.9265 0.4367 0.2996
Ga 0.0000 0.5000 0.5000
Ga 0.0320 0.6304 0.9680
Ga 0.1230 0.8770 0.8770
Ga 0.1237 0.8763 0.1237
Ga 0.1237 0.8763 0.5101
Ga 0.2500 0.2500 0.2500
Ga 0.3696 0.9680 0.6304
Ga 0.4031 0.4031 0.5969
Ga 0.4899 0.5101 0.8763
Ga 0.5000 0.0000 0.0000
Ga 0.5101 0.4899 0.1237
Ga 0.5969 0.5969 0.4031
Ga 0.6304 0.0320 0.3696
Ga 0.7500 0.7500 0.7500
Ga 0.8763 0.1237 0.4899
Ga 0.8763 0.1237 0.8763
Ga 0.8770 0.1230 0.1230
Ga 0.9680 0.3696 0.0320